[1]
# Sm2Cu2O5
Computed PXRD pattern, Cu Kα X-rays. Input: a crystal structure in the Materials Project, relaxed with GGA-PBE.
Lines closer than 0.1° are merged.

```
Sm2Cu2O5
1.0
-7.8122 2.7856 2.6313
7.8122 -2.7856 2.6313
7.8122 2.7856 -2.6313
Sm Cu O
4 4 10
Cartesian
1.7764 0.0951 0.0000
6.0358 0.0951 0.0000
1.7764 2.6905 2.6313
6.0358 2.6905 2.6313
3.9061 -0.1899 2.7524
0.0000 0.0000 2.5786
7.8122 0.0000 2.5786
3.9061 2.9755 0.1211
11.7183 0.4888 -0.3849
2.1049 2.3681 -0.2100
5.7073 2.3681 -0.2100
-0.2829 1.4274 1.2966
8.0952 1.4274 1.2966
2.1049 0.4175 2.4213
5.7073 0.4175 2.4213
-3.9061 2.2968 2.2464
0.2829 4.1438 1.2966
-0.2829 1.3582 3.9279
```

Main lines, sorted by position (10 to 90 degrees two-theta):
2θ = 23.3°, I 16
2θ = 32.1°, I 31
2θ = 32.8°, I 100
2θ = 34.1°, I 30
2θ = 46.5°, I 13
2θ = 47.5°, I 26
2θ = 57.7°, I 30
2θ = 58.9°, I 10
2θ = 60.2°, I 18
2θ = 68.7°, I 14

***

[2]
# Cr2CuS4
Computed PXRD pattern, Cu Kα X-rays. Input: a crystal structure in the Materials Project, relaxed with GGA-PBE.
Lines closer than 0.1° are merged.

```
Cr2CuS4
1.0
11.9576 0.0000 0.0000
0.0000 6.9504 0.0000
0.0000 0.0000 5.6320
Cr Cu S
8 4 16
Cartesian
0.0000 0.0000 0.0000
0.0000 3.4752 0.0000
2.9228 1.7376 2.7027
3.0560 5.2128 5.5187
5.9788 0.0000 2.8160
5.9788 3.4752 2.8160
8.9016 1.7376 0.1133
9.0348 5.2128 2.9292
1.0920 5.2128 3.3864
4.8868 1.7376 0.5704
7.0708 5.2128 5.0615
10.8656 1.7376 2.2455
0.9866 1.7376 1.3398
1.0486 5.2128 1.1726
2.0301 0.0603 4.3198
2.0301 3.4149 4.3198
3.9487 3.5355 1.5038
3.9487 6.8901 1.5038
4.9302 1.7376 3.9885
4.9922 5.2128 4.1557
6.9654 1.7376 1.4762
7.0274 5.2128 1.6434
8.0089 0.0603 4.1281
8.0089 3.4149 4.1281
9.9275 3.5355 1.3122
9.9275 6.8901 1.3122
10.9090 1.7376 4.4594
10.9710 5.2128 4.2922
```

Main lines, sorted by position (10 to 90 degrees two-theta):
2θ = 19.6°, I 46
2θ = 21.6°, I 31
2θ = 30.3°, I 100
2θ = 31.2°, I 83
2θ = 33.8°, I 40
2θ = 44.1°, I 82
2θ = 44.2°, I 36
2θ = 52.7°, I 42
2θ = 53.0°, I 80
2θ = 58.0°, I 49

***

Question: Which formula does entry 1 have?
Answer: Sm2Cu2O5